Structure and theoretical X-ray diffraction stick pattern of HfZr2Ni2As4Pd2 (a crystal structure in OQMD, relaxed with GGA-PBE; Cu Kα X-rays).
Intensities are scaled so that the largest is 100.

Crystal structure
Cell lengths 6.518, 3.898, 7.549 Å; angles 90.00, 90.17, 90.00 degrees
Positions (direct):
Hf (0.000, 0.000, 0.000)
Zr (0.499, 0.000, 0.859)
Zr (0.930, 0.500, 0.370)
Ni (0.617, 0.000, 0.237)
Ni (0.823, 0.500, 0.746)
As (0.213, 0.500, 0.802)
As (0.232, 0.000, 0.318)
As (0.689, 0.000, 0.551)
As (0.712, 0.500, 0.056)
Pd (0.083, 0.000, 0.625)
Pd (0.323, 0.500, 0.129)

The 10 most intense peaks (2θ = 10–90°), in order of falling intensity:
d_spacing  2θ (°)  intensity
2.502  35.89  100
2.374  37.91  78
1.949  46.60  39
2.011  45.08  37
2.114  42.77  36
7.549  11.72  30
2.348  38.34  27
2.087  43.36  24
6.518  13.58  24
1.886  48.26  21

Structure and theoretical X-ray diffraction stick pattern of Ho2Fe2B2CN (a crystal structure in OQMD, relaxed with GGA-PBE; Cu Kα X-rays).
Intensities are scaled so that the largest is 100.

Crystal structure
Cell lengths 3.469, 3.469, 7.791 Å; angles 90.00, 90.00, 90.00 degrees
Positions (direct):
Ho (0.000, 0.000, 0.000)
Ho (0.500, 0.500, 0.324)
Fe (0.000, 0.500, 0.656)
Fe (0.500, 0.000, 0.656)
B (0.000, 0.000, 0.490)
B (0.500, 0.500, 0.824)
C (0.500, 0.500, 0.017)
N (0.000, 0.000, 0.303)

The 10 most intense peaks (2θ = 10–90°), in order of falling intensity:
d_spacing  2θ (°)  intensity
2.593  34.59  100
3.169  28.16  77
2.340  38.48  51
1.442  64.65  45
2.076  43.61  31
1.734  52.78  26
2.453  36.64  20
1.521  60.89  19
1.525  60.72  16
1.698  53.99  15

Structure and theoretical X-ray diffraction stick pattern of AsIrBr (a crystal structure in OQMD, relaxed with GGA-PBE; Cu Kα X-rays).
Intensities are scaled so that the largest is 100.

Crystal structure
Cell lengths 8.539, 8.539, 3.545 Å; angles 90.00, 90.00, 120.00 degrees
Positions (direct):
As (0.000, 0.281, 0.000)
As (0.281, 0.000, 0.000)
As (0.719, 0.719, 0.000)
Ir (0.000, 0.454, 0.500)
Ir (0.454, 0.000, 0.500)
Ir (0.546, 0.546, 0.500)
Br (0.000, 0.000, 0.500)
Br (0.333, 0.667, 0.000)
Br (0.667, 0.333, 0.000)

The 10 most intense peaks (2θ = 10–90°), in order of falling intensity:
d_spacing  2θ (°)  intensity
2.559  35.07  100
4.270  20.81  54
3.698  24.07  46
1.774  51.50  35
2.195  41.13  23
7.395  11.97  18
2.135  42.34  18
1.469  63.32  13
2.051  44.16  13
1.638  56.16  12

Structure and theoretical X-ray diffraction stick pattern of TbHoSi2Os (a crystal structure in OQMD, relaxed with GGA-PBE; Cu Kα X-rays).
Intensities are scaled so that the largest is 100.

Crystal structure
Cell lengths 5.757, 5.757, 10.012 Å; angles 116.97, 116.97, 43.07 degrees
Positions (direct):
Tb (0.009, 0.009, 0.179)
Tb (0.991, 0.991, 0.821)
Ho (0.185, 0.185, 0.611)
Ho (0.815, 0.815, 0.389)
Si (0.355, 0.355, 0.939)
Si (0.498, 0.498, 0.624)
Si (0.502, 0.502, 0.376)
Si (0.645, 0.645, 0.061)
Os (0.271, 0.271, 0.127)
Os (0.729, 0.729, 0.873)

The 10 most intense peaks (2θ = 10–90°), in order of falling intensity:
d_spacing  2θ (°)  intensity
2.639  33.98  100
2.675  33.49  68
2.430  36.99  62
3.229  27.63  47
2.113  42.79  47
2.194  41.15  40
3.851  23.09  33
2.596  34.55  31
1.552  59.56  31
8.741  10.12  29

Structure and theoretical X-ray diffraction stick pattern of Cu2Ag3 (a crystal structure in OQMD, relaxed with GGA-PBE; Cu Kα X-rays).
Intensities are scaled so that the largest is 100.

Crystal structure
Cell lengths 4.917, 4.917, 8.893 Å; angles 90.63, 90.63, 46.67 degrees
Positions (direct):
Cu (0.050, 0.050, 0.348)
Cu (0.150, 0.150, 0.050)
Cu (0.850, 0.850, 0.950)
Cu (0.950, 0.950, 0.652)
Ag (0.255, 0.255, 0.758)
Ag (0.354, 0.354, 0.451)
Ag (0.449, 0.449, 0.145)
Ag (0.551, 0.551, 0.855)
Ag (0.646, 0.646, 0.549)
Ag (0.745, 0.745, 0.242)

The 10 most intense peaks (2θ = 10–90°), in order of falling intensity:
d_spacing  2θ (°)  intensity
2.295  39.25  100
2.288  39.39  99
2.023  44.81  34
1.985  45.71  31
1.948  46.63  30
1.180  81.55  21
1.403  66.66  19
1.390  67.36  18
1.215  78.78  12
1.212  79.03  12